# 1
The following is a simulated XRD peak list of Ba3GaF. It was derived from a DFT-relaxed cell (GGA-PBE, Alexandria), using a wavelength of 1.5418 Å.
Intensities are scaled so that the largest is 100.

Principal peaks in the range 10° ≤ 2θ ≤ 80°, in order of rising 2θ:
2θ/deg  intensity  h k l
23.9  61  2 0 1
24.5  55  2 0 -2
25.2  100  0 0 3
26.7  46  0 1 2
29.6  53  2 1 0
29.7  84  2 1 -1

a = 8.605 Å, b = 4.313 Å, c = 10.755 Å
α = 90.00°, β = 100.01°, γ = 90.00°
Element x y z (fractional)
Ba  0.066  0.250  0.340
Ba  0.260  0.250  0.000
Ba  0.390  0.750  0.642
Ba  0.610  0.250  0.358
Ba  0.740  0.750  0.000
Ba  0.934  0.750  0.660
Ga  0.323  0.750  0.243
Ga  0.677  0.250  0.757
F  0.127  0.250  0.591
F  0.873  0.750  0.409



# 2
The following is a simulated XRD peak list of KBaGa2F8. It was derived from a DFT-relaxed cell (GGA-PBE, Alexandria), using a wavelength of 1.5418 Å.
Intensities are scaled so that the largest is 100.

Principal peaks in the range 10° ≤ 2θ ≤ 80°, in order of rising 2θ:
2θ/deg  intensity  h k l
17.0  17  1 0 0
20.1  100  0 1 1
27.4  45  1 0 2
29.8  47  1 1 0
40.9  30  0 2 2
47.5  19  3 -2 1

a = 6.006 Å, b = 6.006 Å, c = 8.353 Å
α = 90.00°, β = 90.00°, γ = 120.00°
Element x y z (fractional)
K  0.000  0.000  0.000
Ba  0.000  0.000  0.500
Ga  0.333  0.667  0.822
Ga  0.667  0.333  0.178
F  0.156  0.341  0.728
F  0.185  0.844  0.728
F  0.333  0.667  0.041
F  0.341  0.185  0.272
F  0.659  0.815  0.728
F  0.667  0.333  0.959
F  0.815  0.156  0.272
F  0.844  0.659  0.272



Please write out number 1 again, unchanged.
The following is a simulated XRD peak list of Ba3GaF. It was derived from a DFT-relaxed cell (GGA-PBE, Alexandria), using a wavelength of 1.5418 Å.
Intensities are scaled so that the largest is 100.

Principal peaks in the range 10° ≤ 2θ ≤ 80°, in order of rising 2θ:
2θ/deg  intensity  h k l
23.9  61  2 0 1
24.5  55  2 0 -2
25.2  100  0 0 3
26.7  46  0 1 2
29.6  53  2 1 0
29.7  84  2 1 -1

a = 8.605 Å, b = 4.313 Å, c = 10.755 Å
α = 90.00°, β = 100.01°, γ = 90.00°
Element x y z (fractional)
Ba  0.066  0.250  0.340
Ba  0.260  0.250  0.000
Ba  0.390  0.750  0.642
Ba  0.610  0.250  0.358
Ba  0.740  0.750  0.000
Ba  0.934  0.750  0.660
Ga  0.323  0.750  0.243
Ga  0.677  0.250  0.757
F  0.127  0.250  0.591
F  0.873  0.750  0.409